This entry pairs a crystal structure of PuAgSbN with its theoretical powder diffraction line list. Radiation: a wavelength of 1.5418 Å. Structure: the GGA-PBE geometry in Alexandria.

Principal peaks in the range 15 to 90 degrees two-theta, sorted by position:
d 3.706, I = 14
d 3.199, I = 12
d 2.731, I = 100
d 2.471, I = 17
d 2.317, I = 37
d 1.779, I = 12
d 1.690, I = 22
d 1.638, I = 13
d 1.405, I = 26
d 1.365, I = 11

Crystal structure
```
data_PuAgSbN
_symmetry_space_group_name_H-M 'P 1'
_symmetry_Int_Tables_number 1
_symmetry_space_group_name_Hall 'P 1'
_cell_length_a 7.7659
_cell_length_b 7.7659
_cell_length_c 7.7659
_cell_angle_alpha 155.64
_cell_angle_beta 155.64
_cell_angle_gamma 34.71
loop_
_atom_site_label
_atom_site_fract_x
_atom_site_fract_y
_atom_site_fract_z
Pu1 0.0000 0.0000 0.0000
Ag1 0.6820 0.6820 0.0000
Sb1 0.3146 0.3146 0.0000
N1 0.5314 0.5314 0.0000
```